1.
Diffraction record for Al2VIr3. The XRD peak list is calculated, not measured: it uses a crystal structure in Alexandria, relaxed with GGA-PBE and Cu Kα X-rays.

Structure:
```
data_Al2VIr3
_cell_length_a 2.884
_cell_length_b 2.884
_cell_length_c 9.991
_cell_angle_alpha 90.00
_cell_angle_beta 90.00
_cell_angle_gamma 90.00
_symmetry_space_group_name_H-M 'P 4/m m m'
_symmetry_Int_Tables_number 123
_symmetry_space_group_name_Hall '-P 4 2'
loop_
_atom_site_label
_atom_site_fract_x
_atom_site_fract_y
_atom_site_fract_z
Al1 0.000 0.000 0.161
V1 0.000 0.000 0.500
Ir1 0.500 0.500 0.000
Ir2 0.500 0.500 0.324
```

Most intense lines, 2θ from 10° to 80°, by angle:
(hkl), 2theta, d [Å], I (rel.)
0 0 3, 26.77, 3.330, 369
1 0 0, 31.01, 2.884, 525
1 0 3, 41.42, 2.180, 1000
1 1 0, 44.42, 2.039, 418
1 1 3, 52.63, 1.739, 243
0 0 6, 55.16, 1.665, 102
2 0 0, 64.63, 1.442, 260
2 0 3, 71.26, 1.323, 100
1 1 6, 73.41, 1.290, 270
2 1 3, 79.73, 1.203, 298

---

2.
Diffraction record for Li3Mn. The XRD peak list is calculated, not measured: it uses a crystal structure in Alexandria, relaxed with GGA-PBE and Cu Kα X-rays.

Structure:
```
data_Li3Mn
_cell_length_a 2.7858
_cell_length_b 2.7858
_cell_length_c 29.3551
_cell_angle_alpha 90.00
_cell_angle_beta 90.00
_cell_angle_gamma 120.00
_symmetry_space_group_name_H-M 'R -3 m'
_symmetry_Int_Tables_number 166
_symmetry_space_group_name_Hall '-R 3 2"'
loop_
_atom_site_label
_atom_site_fract_x
_atom_site_fract_y
_atom_site_fract_z
Li1 0.0000 0.0000 0.0000
Li2 0.0000 0.0000 0.2449
Mn1 0.0000 0.0000 0.5000
```

Most intense lines, 2θ from 10° to 80°, by angle:
(hkl), 2theta, d [Å], I (rel.)
0 0 6, 18.13, 4.893, 1000
0 0 9, 27.34, 3.262, 319
0 0 12, 36.74, 2.446, 305
1 0 1, 37.40, 2.404, 446
0 1 2, 37.79, 2.381, 438
1 0 4, 39.31, 2.292, 765
0 1 5, 40.42, 2.232, 335
1 0 7, 43.26, 2.091, 317
0 1 8, 44.97, 2.016, 506
1 0 10, 48.86, 1.864, 200

---

3.
Diffraction record for TbGdZnOs. The XRD peak list is calculated, not measured: it uses a crystal structure in Alexandria, relaxed with GGA-PBE and Cu Kα X-rays.

Structure:
```
data_TbGdZnOs
_cell_length_a 6.988
_cell_length_b 6.988
_cell_length_c 6.988
_cell_angle_alpha 90.00
_cell_angle_beta 90.00
_cell_angle_gamma 90.00
_symmetry_space_group_name_H-M 'F -4 3 m'
_symmetry_Int_Tables_number 216
_symmetry_space_group_name_Hall 'F -4 2 3'
loop_
_atom_site_label
_atom_site_fract_x
_atom_site_fract_y
_atom_site_fract_z
Tb1 0.000 0.000 0.000
Gd1 0.000 0.000 0.500
Zn1 0.250 0.250 0.250
Os1 0.250 0.250 0.750
```

Most intense lines, 2θ from 10° to 80°, by angle:
(hkl), 2theta, d [Å], I (rel.)
1 1 1, 22.03, 4.034, 94
2 0 0, 25.50, 3.494, 12
2 2 0, 36.37, 2.470, 1000
3 1 1, 42.93, 2.107, 52
4 0 0, 52.38, 1.747, 176
3 3 1, 57.49, 1.603, 23
4 2 2, 65.43, 1.426, 359
5 1 1, 69.96, 1.345, 18
4 4 0, 77.23, 1.235, 112

---

4.
Diffraction record for DyNiHg2. The XRD peak list is calculated, not measured: it uses a crystal structure in Alexandria, relaxed with GGA-PBE and Cu Kα X-rays.

Structure:
```
data_DyNiHg2
_cell_length_a 3.940
_cell_length_b 10.035
_cell_length_c 8.300
_cell_angle_alpha 90.00
_cell_angle_beta 90.00
_cell_angle_gamma 90.00
_symmetry_space_group_name_H-M 'C m c m'
_symmetry_Int_Tables_number 63
_symmetry_space_group_name_Hall '-C 2c 2'
loop_
_atom_site_label
_atom_site_fract_x
_atom_site_fract_y
_atom_site_fract_z
Dy1 0.000 0.067 0.250
Ni1 0.000 0.230 0.750
Hg1 0.000 0.359 0.051
```

Most intense lines, 2θ from 10° to 80°, by angle:
(hkl), 2theta, d [Å], I (rel.)
1 1 2, 32.58, 2.748, 1000
1 3 0, 35.20, 2.550, 458
1 3 1, 36.88, 2.437, 416
0 2 3, 37.11, 2.423, 501
1 1 3, 40.86, 2.209, 273
1 3 2, 41.57, 2.173, 280
0 4 2, 42.09, 2.147, 218
2 0 0, 46.08, 1.970, 296
2 2 3, 60.58, 1.528, 246
1 5 3, 61.77, 1.502, 206

---

5.
Diffraction record for LiDy6Al2. The XRD peak list is calculated, not measured: it uses a crystal structure in Alexandria, relaxed with GGA-PBE and Cu Kα X-rays.

Structure:
```
data_LiDy6Al2
_cell_length_a 4.983
_cell_length_b 7.239
_cell_length_c 15.106
_cell_angle_alpha 90.00
_cell_angle_beta 90.00
_cell_angle_gamma 90.00
_symmetry_space_group_name_H-M 'I m m m'
_symmetry_Int_Tables_number 71
_symmetry_space_group_name_Hall '-I 2 2'
loop_
_atom_site_label
_atom_site_fract_x
_atom_site_fract_y
_atom_site_fract_z
Li1 0.000 0.000 0.000
Dy1 0.000 0.243 0.500
Dy2 0.000 0.252 0.168
Al1 0.000 0.000 0.333
```

Most intense lines, 2θ from 10° to 80°, by angle:
(hkl), 2theta, d [Å], I (rel.)
0 2 0, 24.59, 3.620, 499
1 0 3, 25.14, 3.542, 948
1 2 3, 35.46, 2.532, 1000
0 0 6, 35.66, 2.518, 247
2 0 0, 36.05, 2.492, 240
0 2 6, 43.80, 2.067, 218
2 2 0, 44.13, 2.052, 213
1 4 3, 57.16, 1.612, 198
2 2 6, 57.98, 1.591, 287
1 2 9, 63.93, 1.456, 181

---

6.
Diffraction record for Tm3Tl2In2. The XRD peak list is calculated, not measured: it uses a crystal structure in Alexandria, relaxed with GGA-PBE and Cu Kα X-rays.

Structure:
```
data_Tm3Tl2In2
_cell_length_a 4.637
_cell_length_b 23.044
_cell_length_c 3.401
_cell_angle_alpha 90.00
_cell_angle_beta 90.00
_cell_angle_gamma 90.00
_symmetry_space_group_name_H-M 'C m m m'
_symmetry_Int_Tables_number 65
_symmetry_space_group_name_Hall '-C 2 2'
loop_
_atom_site_label
_atom_site_fract_x
_atom_site_fract_y
_atom_site_fract_z
Tm1 0.000 0.000 0.000
Tm2 0.000 0.154 0.000
Tl1 0.000 0.427 0.500
In1 0.000 0.287 0.500
```

Most intense lines, 2θ from 10° to 80°, by angle:
(hkl), 2theta, d [Å], I (rel.)
1 1 1, 32.89, 2.723, 1000
1 7 0, 33.38, 2.684, 975
0 6 1, 35.25, 2.546, 529
2 0 0, 38.84, 2.318, 347
0 8 1, 41.06, 2.198, 182
2 6 1, 53.45, 1.714, 326
0 0 2, 53.91, 1.701, 135
2 8 1, 57.80, 1.595, 135
1 13 1, 62.37, 1.489, 220
1 7 2, 64.91, 1.437, 287

---

7.
Diffraction record for Nb12AlGa3. The XRD peak list is calculated, not measured: it uses a crystal structure in Alexandria, relaxed with GGA-PBE and Cu Kα X-rays.

Structure:
```
data_Nb12AlGa3
_cell_length_a 5.209
_cell_length_b 5.213
_cell_length_c 10.360
_cell_angle_alpha 90.00
_cell_angle_beta 90.00
_cell_angle_gamma 90.00
_symmetry_space_group_name_H-M 'P m m m'
_symmetry_Int_Tables_number 47
_symmetry_space_group_name_Hall '-P 2 2'
loop_
_atom_site_label
_atom_site_fract_x
_atom_site_fract_y
_atom_site_fract_z
Nb1 0.000 0.000 0.124
Nb2 0.000 0.000 0.375
Nb3 0.251 0.500 0.250
Nb4 0.500 0.251 0.000
Nb5 0.500 0.253 0.500
Al1 0.000 0.500 0.500
Ga1 0.000 0.500 0.000
Ga2 0.500 0.000 0.250
```

Most intense lines, 2θ from 10° to 80°, by angle:
(hkl), 2theta, d [Å], I (rel.)
2 0 0, 34.42, 2.606, 236
0 0 4, 34.63, 2.590, 116
0 2 2, 38.66, 2.329, 1000
1 0 4, 38.83, 2.319, 500
1 2 2, 42.54, 2.125, 522
1 1 4, 42.67, 2.119, 250
2 2 4, 61.79, 1.501, 169
1 3 4, 67.28, 1.392, 189
2 1 6, 67.51, 1.387, 127
4 0 0, 72.56, 1.303, 124

---

8.
Diffraction record for Co2C3N6. The XRD peak list is calculated, not measured: it uses a crystal structure in Alexandria, relaxed with GGA-PBE and Cu Kα X-rays.

Structure:
```
data_Co2C3N6
_cell_length_a 5.2674
_cell_length_b 5.2674
_cell_length_c 27.3679
_cell_angle_alpha 90.00
_cell_angle_beta 90.00
_cell_angle_gamma 120.00
_symmetry_space_group_name_H-M 'R -3 c'
_symmetry_Int_Tables_number 167
_symmetry_space_group_name_Hall '-R 3 2"c'
loop_
_atom_site_label
_atom_site_fract_x
_atom_site_fract_y
_atom_site_fract_z
Co1 0.0000 0.0000 0.1649
C1 0.0000 0.3215 0.2500
N1 0.0037 0.3800 0.5390
```

Most intense lines, 2θ from 10° to 80°, by angle:
(hkl), 2theta, d [Å], I (rel.)
0 0 6, 19.46, 4.561, 506
0 1 2, 20.52, 4.328, 776
1 0 4, 23.44, 3.795, 577
1 1 0, 34.04, 2.634, 194
1 1 3, 35.48, 2.530, 350
1 1 6, 39.51, 2.281, 1000
1 1 12, 53.12, 1.724, 412
3 0 0, 60.93, 1.521, 274
1 1 18, 71.67, 1.317, 191
2 2 6, 75.08, 1.265, 190

---

Please write out number 8 again, unchanged.
Diffraction record for Co2C3N6. The XRD peak list is calculated, not measured: it uses a crystal structure in Alexandria, relaxed with GGA-PBE and Cu Kα X-rays.

Structure:
```
data_Co2C3N6
_cell_length_a 5.2674
_cell_length_b 5.2674
_cell_length_c 27.3679
_cell_angle_alpha 90.00
_cell_angle_beta 90.00
_cell_angle_gamma 120.00
_symmetry_space_group_name_H-M 'R -3 c'
_symmetry_Int_Tables_number 167
_symmetry_space_group_name_Hall '-R 3 2"c'
loop_
_atom_site_label
_atom_site_fract_x
_atom_site_fract_y
_atom_site_fract_z
Co1 0.0000 0.0000 0.1649
C1 0.0000 0.3215 0.2500
N1 0.0037 0.3800 0.5390
```

Most intense lines, 2θ from 10° to 80°, by angle:
(hkl), 2theta, d [Å], I (rel.)
0 0 6, 19.46, 4.561, 506
0 1 2, 20.52, 4.328, 776
1 0 4, 23.44, 3.795, 577
1 1 0, 34.04, 2.634, 194
1 1 3, 35.48, 2.530, 350
1 1 6, 39.51, 2.281, 1000
1 1 12, 53.12, 1.724, 412
3 0 0, 60.93, 1.521, 274
1 1 18, 71.67, 1.317, 191
2 2 6, 75.08, 1.265, 190

---

Which formula does entry 7 have?
Nb12AlGa3